Record 1
Dy2TmAl5: calculated X-ray powder pattern (Cu Kα X-rays), based on a DFT-relaxed cell (PBE, OQMD).
Intensities are scaled so that the largest is 100.

Most intense lines, 2θ from 10° to 90°, sorted by position:
2θ (°)  I (rel.)
15.76  20
16.28  18
24.73  68
27.15  30
32.89  20
37.05  100
37.49  29
38.00  30

Atomic structure:
a = 4.797 Å, b = 6.359 Å, c = 6.359 Å
α = 62.19°, β = 90.00°, γ = 90.00°
Fractional coordinates of all 8 atoms:
Dy 0.000 0.000 0.000
Dy 0.500 0.309 0.309
Tm 0.500 0.812 0.812
Al 0.000 0.497 0.959
Al 0.000 0.510 0.510
Al 0.000 0.959 0.497
Al 0.500 0.348 0.787
Al 0.500 0.787 0.348

Record 2
CsRbPdSe2S: calculated X-ray powder pattern (Cu Kα X-rays), based on a DFT-relaxed cell (PBE, OQMD).
Intensities are scaled so that the largest is 100.

Most intense lines, 2θ from 10° to 90°, sorted by position:
2θ (°)  I (rel.)
13.09  28
14.90  25
24.88  38
25.87  66
26.11  100
26.49  65
30.04  29
34.25  25

Atomic structure:
a = 7.688 Å, b = 7.688 Å, c = 10.242 Å
α = 117.36°, β = 117.36°, γ = 53.22°
Fractional coordinates of all 12 atoms:
Cs 0.195 0.195 0.328
Cs 0.805 0.805 0.672
Rb 0.414 0.414 0.121
Rb 0.586 0.586 0.879
Pd 0.105 0.105 0.655
Pd 0.895 0.895 0.345
Se 0.120 0.120 0.898
Se 0.290 0.710 0.500
Se 0.710 0.290 0.500
Se 0.880 0.880 0.102
S 0.293 0.293 0.741
S 0.707 0.707 0.259